# LiHfCrO4
Computed X-ray powder pattern, Cu Kα (weighted mean of Kα1 and Kα2). Input: DFT lattice parameters and positions (GGA+U).
No peak broadening, texture or thermal motion is included.

Top 12 peaks for 2θ from 10° to 90°, by intensity:
(1 0 1), 2θ 17.9, intensity 100.0; (1 2 1), 2θ 33.6, intensity 41.6; (2 2 0), 2θ 41.3, intensity 30.4; (1 0 3), 2θ 34.6, intensity 23.1; (2 2 4), 2θ 60.3, intensity 19.4; (0 2 2), 2θ 35.1, intensity 16.3; (0 0 2), 2θ 20.6, intensity 16.1; (1 2 3), 2θ 45.2, intensity 15.7; (2 0 2), 2θ 36.3, intensity 14.8; (0 0 4), 2θ 41.9, intensity 14.7; (0 1 1), 2θ 17.4, intensity 13.2; (3 2 1), 2θ 55.1, intensity 12.2

Structure:
```
data_LiHfCrO4
_space_group_name_H-M_alt 'I m m a'
_space_group_IT_number 74
_space_group_name_Hall '-I 2b 2'
_cell_length_a 6.0387
_cell_length_b 6.3385
_cell_length_c 8.6216
_cell_angle_alpha 90.00
_cell_angle_beta 90.00
_cell_angle_gamma 90.00
loop_
_atom_site_label
_atom_site_type_symbol
_atom_site_fract_x
_atom_site_fract_y
_atom_site_fract_z
Li1 Li 0.0000 0.2500 0.1239
Hf1 Hf 0.0000 0.0000 0.5000
Cr1 Cr 0.2500 0.2500 0.7500
O1 O 0.0000 0.0323 0.7404
O2 O 0.2275 0.2500 0.5107
```